Diffraction record for Li2VCrP2H2O10. The powder diffraction line list is simulated, not measured: it uses a cell relaxed with GGA+U and a wavelength of 1.5418 Å.

The 10 most intense peaks (5 to 70 degrees two-theta), sorted by position:
- d 5.031, 2θ = 17.6°, I 35.2, (1 0 -1)
- d 4.795, 2θ = 18.5°, I 38.5, (1 -1 1)
- d 4.730, 2θ = 18.8°, I 44.7, (1 0 1)
- d 3.473, 2θ = 25.7°, I 34.0, (0 1 -2)
- d 3.449, 2θ = 25.8°, I 30.3, (1 1 -1)
- d 3.352, 2θ = 26.6°, I 72.7, (1 -2 1)
- d 3.339, 2θ = 26.7°, I 27.5, (0 1 2)
- d 3.323, 2θ = 26.8°, I 100.0, (-1 2 1)
- d 3.079, 2θ = 29.0°, I 86.4, (2 0 0)
- d 2.499, 2θ = 35.9°, I 37.6, (1 0 -3)

Crystal structure
```
data_Li2VCrP2H2O10
_cell_length_a 6.948
_cell_length_b 7.373
_cell_length_c 7.990
_cell_angle_alpha 90.95
_cell_angle_beta 92.81
_cell_angle_gamma 117.36
_symmetry_space_group_name_H-M 'P -1'
_symmetry_Int_Tables_number 2
_symmetry_space_group_name_Hall '-P 1'
loop_
_atom_site_label
_atom_site_type_symbol
_atom_site_fract_x
_atom_site_fract_y
_atom_site_fract_z
_atom_site_occupancy
Li1 Li 0.069 0.323 0.175 1
Li2 Li 0.431 0.672 0.325 1
V1 V 0.000 0.500 0.500 1
V2 V 0.500 0.000 0.000 1
Cr1 Cr 0.000 0.000 0.500 1
Cr2 Cr 0.500 0.500 0.000 1
P1 P 0.017 0.730 0.158 1
P2 P 0.480 0.269 0.342 1
H1 H 0.214 0.846 0.647 1
H2 H 0.289 0.162 0.850 1
O1 O 0.036 0.121 0.738 1
O2 O 0.060 0.780 0.604 1
O3 O 0.112 0.616 0.272 1
O4 O 0.174 0.840 0.020 1
O5 O 0.192 0.431 0.941 1
O6 O 0.312 0.572 0.558 1
O7 O 0.322 0.162 0.481 1
O8 O 0.387 0.382 0.225 1
O9 O 0.442 0.225 0.896 1
O10 O 0.468 0.882 0.759 1
```